(1)
Diffraction record for Sr5Zr. The PXRD pattern is simulated, not measured: it uses a PBE-relaxed structure and CuKα.

Atomic structure:
a b c (Å): 14.2350 4.0833 10.2012
angles (deg): 90.00 111.70 90.00
Element x y z (fractional)
Sr  0.0000  0.0000  0.0000
Sr  0.0213  0.0000  0.4315
Sr  0.1907  0.5000  0.8447
Sr  0.2135  0.5000  0.2787
Sr  0.3565  0.0000  0.6396
Sr  0.5000  0.5000  0.0000
Sr  0.5213  0.5000  0.4315
Sr  0.6907  0.0000  0.8447
Sr  0.7135  0.0000  0.2787
Sr  0.8565  0.5000  0.6396
Zr  0.3558  0.0000  0.1378
Zr  0.8558  0.5000  0.1378

Main lines, by angle (5° ≤ 2θ ≤ 70°):
- 2θ 26.6, rel. 465
- 2θ 26.9, rel. 607
- 2θ 28.0, rel. 1000
- 2θ 29.8, rel. 936
- 2θ 50.5, rel. 236
- 2θ 52.6, rel. 187

(2)
Diffraction record for Th2MgAl3Au4. The PXRD pattern is simulated, not measured: it uses a PBE-relaxed structure and CuKα.

Atomic structure:
a b c (Å): 4.4539 4.4539 10.5571
angles (deg): 90.00 90.00 90.00
Element x y z (fractional)
Th  0.0000  0.5000  0.2401
Th  0.5000  0.0000  0.7599
Mg  0.0000  0.0000  0.5000
Al  0.0000  0.5000  0.8704
Al  0.5000  0.0000  0.1296
Al  0.5000  0.5000  0.5000
Au  0.0000  0.0000  0.0000
Au  0.0000  0.5000  0.6360
Au  0.5000  0.0000  0.3640
Au  0.5000  0.5000  0.0000

Main lines, by angle (5° ≤ 2θ ≤ 70°):
- 2θ 26.2, rel. 308
- 2θ 29.6, rel. 427
- 2θ 32.4, rel. 557
- 2θ 33.1, rel. 1000
- 2θ 40.5, rel. 585
- 2θ 69.0, rel. 352

(3)
Diffraction record for Te6Br2O11. The PXRD pattern is simulated, not measured: it uses a PBE-relaxed structure and CuKα.

Atomic structure:
a b c (Å): 6.9827 6.9827 15.9508
angles (deg): 90.00 90.00 60.23
Element x y z (fractional)
Te  0.0652  0.9348  0.6425
Te  0.0652  0.9348  0.8575
Te  0.2193  0.4729  0.0849
Te  0.2193  0.4729  0.4151
Te  0.4729  0.2193  0.5849
Te  0.4729  0.2193  0.9151
Te  0.5271  0.7807  0.0849
Te  0.5271  0.7807  0.4151
Te  0.7807  0.5271  0.5849
Te  0.7807  0.5271  0.9151
Te  0.9348  0.0652  0.1425
Te  0.9348  0.0652  0.3575
Br  0.1345  0.5333  0.7500
Br  0.4667  0.8655  0.7500
Br  0.5333  0.1345  0.2500
Br  0.8655  0.4667  0.2500
O  0.0346  0.2045  0.5967
O  0.0346  0.2045  0.9033
O  0.0769  0.9231  0.2500
O  0.1856  0.5163  0.5349
O  0.1856  0.5163  0.9651
O  0.2045  0.0346  0.0967
O  0.2045  0.0346  0.4033
O  0.4280  0.5720  0.1138
O  0.4280  0.5720  0.3862
O  0.4837  0.8144  0.5349
O  0.4837  0.8144  0.9651
O  0.5163  0.1856  0.0349
O  0.5163  0.1856  0.4651
O  0.5720  0.4280  0.6138
O  0.5720  0.4280  0.8862
O  0.7955  0.9654  0.5967
O  0.7955  0.9654  0.9033
O  0.8144  0.4837  0.0349
O  0.8144  0.4837  0.4651
O  0.9231  0.0769  0.7500
O  0.9654  0.7955  0.0967
O  0.9654  0.7955  0.4033

Main lines, by angle (5° ≤ 2θ ≤ 70°):
- 2θ 18.4, rel. 186
- 2θ 22.3, rel. 436
- 2θ 25.5, rel. 610
- 2θ 30.6, rel. 1000
- 2θ 34.1, rel. 201
- 2θ 36.9, rel. 219

(4)
Diffraction record for NdNi3H6. The PXRD pattern is simulated, not measured: it uses a PBE-relaxed structure and CuKα.

Atomic structure:
a b c (Å): 5.5128 5.5128 5.5128
angles (deg): 48.09 48.09 48.09
Element x y z (fractional)
Nd  0.0000  0.0000  0.0000
Ni  0.2085  0.2085  0.2085
Ni  0.5358  0.5358  0.5358
Ni  0.8052  0.8052  0.8052
H  0.1643  0.4419  0.8022
H  0.4350  0.9409  0.4532
H  0.4419  0.8022  0.1643
H  0.4532  0.4350  0.9409
H  0.8022  0.1643  0.4419
H  0.9409  0.4532  0.4350

Main lines, by angle (5° ≤ 2θ ≤ 70°):
- 2θ 23.7, rel. 493
- 2θ 26.0, rel. 266
- 2θ 33.7, rel. 809
- 2θ 38.6, rel. 595
- 2θ 40.1, rel. 1000
- 2θ 55.7, rel. 285